(1)
# AgSnSO
Simulated X-ray powder pattern, Cu Kα, 1.54184 Å. Input: DFT lattice parameters and positions (PBE).
Neutral-atom scattering factors, no anomalous dispersion.

Atomic structure:
```
AgSnSO
1.0
7.1090 0.0000 0.0000
0.0000 7.1246 0.0000
0.0000 0.0000 11.7226
Ag Sn S O
8 8 8 8
Direct
0.0046 0.2366 0.0036 Ag
0.0046 0.2634 0.5036 Ag
0.4954 0.7366 0.0036 Ag
0.4954 0.7634 0.5036 Ag
0.5046 0.2366 0.4964 Ag
0.5046 0.2634 0.9964 Ag
0.9954 0.7366 0.4964 Ag
0.9954 0.7634 0.9964 Ag
0.1494 0.5736 0.7358 Sn
0.1494 0.9264 0.2358 Sn
0.3506 0.0736 0.7358 Sn
0.3506 0.4264 0.2358 Sn
0.6494 0.5736 0.7642 Sn
0.6494 0.9264 0.2642 Sn
0.8506 0.0736 0.7642 Sn
0.8506 0.4264 0.2642 Sn
0.2350 0.5104 0.9505 S
0.2350 0.9896 0.4505 S
0.2650 0.0104 0.9505 S
0.2650 0.4896 0.4505 S
0.7350 0.5104 0.5495 S
0.7350 0.9896 0.0495 S
0.7650 0.0104 0.5495 S
0.7650 0.4896 0.0495 S
0.0941 0.2487 0.7194 O
0.0941 0.2513 0.2194 O
0.4059 0.7487 0.7194 O
0.4059 0.7513 0.2194 O
0.5941 0.2487 0.7806 O
0.5941 0.2513 0.2806 O
0.9059 0.7487 0.7806 O
0.9059 0.7513 0.2806 O
```

Peak list (6 most intense, 2θ from 10° to 90°, low angle first)
- d = 3.408 Å, I = 39
- d = 3.070 Å, I = 69
- d = 3.042 Å, I = 100
- d = 2.931 Å, I = 86
- d = 2.516 Å, I = 53
- d = 2.312 Å, I = 34

=====

(2)
# SrAgSO
Simulated X-ray powder pattern, Cu Kα, 1.54184 Å. Input: DFT lattice parameters and positions (PBE).
Neutral-atom scattering factors, no anomalous dispersion.

Atomic structure:
```
SrAgSO
1.0
1.8212 -6.8887 0.0000
1.8212 6.8887 0.0000
0.0000 0.0000 6.0389
Sr Ag S O
2 2 2 2
Direct
0.0792 0.9208 0.7500 Sr
0.9208 0.0792 0.2500 Sr
0.3733 0.6267 0.7500 Ag
0.6267 0.3733 0.2500 Ag
0.2397 0.7603 0.2500 S
0.7603 0.2397 0.7500 S
0.5000 0.5000 0.0000 O
0.5000 0.5000 0.5000 O
```

Peak list (6 most intense, 2θ from 10° to 90°, low angle first)
- d = 3.042 Å, I = 32
- d = 3.019 Å, I = 47
- d = 2.992 Å, I = 17
- d = 2.580 Å, I = 100
- d = 2.271 Å, I = 16
- d = 1.645 Å, I = 24

=====

(3)
# SrAgSO
Simulated X-ray powder pattern, Cu Kα, 1.54184 Å. Input: DFT lattice parameters and positions (PBE).
Neutral-atom scattering factors, no anomalous dispersion.

Atomic structure:
```
SrAgSO
1.0
6.5886 0.0000 0.0000
0.0000 8.0525 0.0000
0.0000 0.0000 13.6163
Sr Ag S O
8 8 8 8
Direct
0.1027 0.2288 0.1235 Sr
0.1027 0.2712 0.6235 Sr
0.3973 0.7288 0.1235 Sr
0.3973 0.7712 0.6235 Sr
0.6027 0.2288 0.3765 Sr
0.6027 0.2712 0.8765 Sr
0.8973 0.7288 0.3765 Sr
0.8973 0.7712 0.8765 Sr
0.2450 0.5221 0.7894 Ag
0.2450 0.9779 0.2894 Ag
0.2550 0.0221 0.7894 Ag
0.2550 0.4779 0.2894 Ag
0.7450 0.5221 0.7106 Ag
0.7450 0.9779 0.2106 Ag
0.7550 0.0221 0.7106 Ag
0.7550 0.4779 0.2106 Ag
0.1577 0.5116 0.9846 S
0.1577 0.9884 0.4846 S
0.3423 0.0116 0.9846 S
0.3423 0.4884 0.4846 S
0.6577 0.5116 0.5154 S
0.6577 0.9884 0.0154 S
0.8423 0.0116 0.5154 S
0.8423 0.4884 0.0154 S
0.1591 0.7268 0.2542 O
0.1591 0.7732 0.7542 O
0.3409 0.2268 0.2542 O
0.3409 0.2732 0.7542 O
0.6591 0.7268 0.2458 O
0.6591 0.7732 0.7458 O
0.8409 0.2268 0.2458 O
0.8409 0.2732 0.7458 O
```

Peak list (6 most intense, 2θ from 10° to 90°, low angle first)
- d = 6.808 Å, I = 92
- d = 4.081 Å, I = 90
- d = 3.067 Å, I = 100
- d = 2.600 Å, I = 70
- d = 2.146 Å, I = 52
- d = 1.469 Å, I = 52

=====

(4)
# SrAgSO
Simulated X-ray powder pattern, Cu Kα, 1.54184 Å. Input: DFT lattice parameters and positions (PBE).
Neutral-atom scattering factors, no anomalous dispersion.

Atomic structure:
```
SrAgSO
1.0
6.4533 0.0000 0.0000
0.0000 6.4802 0.0000
0.0000 0.0000 7.3982
Sr Ag S O
4 4 4 4
Direct
0.1974 0.0606 0.4540 Sr
0.3026 0.9394 0.9540 Sr
0.6974 0.4394 0.5460 Sr
0.8026 0.5606 0.0460 Sr
0.2213 0.5588 0.2800 Ag
0.2787 0.4412 0.7800 Ag
0.7213 0.9412 0.7200 Ag
0.7787 0.0588 0.2200 Ag
0.0326 0.7182 0.6979 S
0.4674 0.2818 0.1979 S
0.5326 0.7818 0.3021 S
0.9674 0.2182 0.8021 S
0.0381 0.8408 0.1934 O
0.4619 0.1592 0.6934 O
0.5381 0.6592 0.8066 O
0.9619 0.3408 0.3066 O
```

Peak list (6 most intense, 2θ from 10° to 90°, low angle first)
- d = 3.227 Å, I = 21
- d = 3.209 Å, I = 16
- d = 2.876 Å, I = 100
- d = 2.696 Å, I = 24
- d = 2.286 Å, I = 25
- d = 2.184 Å, I = 22